1.
This entry pairs a crystal structure of Mn2ZnHg with its theoretical powder diffraction line list. Radiation: Cu Kα. Structure: DFT lattice parameters and positions (PBE).
Intensities are scaled so that the largest is 100.

Cell and atoms:
```
data_Mn2ZnHg
_cell_length_a 6.401
_cell_length_b 6.401
_cell_length_c 6.401
_cell_angle_alpha 90.00
_cell_angle_beta 90.00
_cell_angle_gamma 90.00
_symmetry_space_group_name_H-M 'F -4 3 m'
_symmetry_Int_Tables_number 216
_symmetry_space_group_name_Hall 'F -4 2 3'
loop_
_atom_site_label
_atom_site_type_symbol
_atom_site_fract_x
_atom_site_fract_y
_atom_site_fract_z
_atom_site_occupancy
Mn1 Mn 0.000 0.000 0.000 1
Mn2 Mn 0.250 0.250 0.250 1
Zn1 Zn 0.250 0.250 0.750 1
Hg1 Hg 0.000 0.000 0.500 1
```

Largest 11 diffraction maxima, sorted by position, 10 to 90 degrees two-theta:
| 2θ/deg | d (Å) | I/Imax | index |
| --- | --- | --- | --- |
| 24.08 | 3.695 | 34 | 1 1 1 |
| 27.88 | 3.200 | 14 | 2 0 0 |
| 39.83 | 2.263 | 100 | 2 2 0 |
| 47.09 | 1.930 | 19 | 3 1 1 |
| 49.32 | 1.848 | 4 | 2 2 2 |
| 57.60 | 1.600 | 16 | 4 0 0 |
| 63.34 | 1.468 | 8 | 3 3 1 |
| 65.18 | 1.431 | 6 | 4 2 0 |
| 72.32 | 1.307 | 33 | 4 2 2 |
| 77.49 | 1.232 | 6 | 5 1 1 |
| 85.90 | 1.131 | 11 | 4 4 0 |

---

2.
This entry pairs a crystal structure of Pm6Nd2Tm with its theoretical powder diffraction line list. Radiation: Cu Kα. Structure: DFT lattice parameters and positions (PBE).
Intensities are scaled so that the largest is 100.

Cell and atoms:
```
data_Pm6Nd2Tm
_cell_length_a 9.926
_cell_length_b 17.257
_cell_length_c 3.554
_cell_angle_alpha 90.00
_cell_angle_beta 90.00
_cell_angle_gamma 90.00
_symmetry_space_group_name_H-M 'C m m m'
_symmetry_Int_Tables_number 65
_symmetry_space_group_name_Hall '-C 2 2'
loop_
_atom_site_label
_atom_site_type_symbol
_atom_site_fract_x
_atom_site_fract_y
_atom_site_fract_z
_atom_site_occupancy
Pm1 Pm 0.166 0.165 0.000 1
Pm2 Pm 0.170 0.500 0.000 1
Nd1 Nd 0.000 0.333 0.500 1
Tm1 Tm 0.000 0.000 0.500 1
```

Largest 12 diffraction maxima, sorted by position, 10 to 90 degrees two-theta:
| 2θ/deg | d (Å) | I/Imax | index |
| --- | --- | --- | --- |
| 30.93 | 2.891 | 92 | 2 0 1 |
| 31.15 | 2.871 | 100 | 3 3 0 |
| 40.39 | 2.233 | 10 | 3 3 1 |
| 44.47 | 2.037 | 34 | 2 6 1 |
| 51.43 | 1.777 | 8 | 0 0 2 |
| 55.26 | 1.662 | 24 | 1 9 1 |
| 55.37 | 1.659 | 25 | 3 9 0 |
| 55.55 | 1.654 | 7 | 6 0 0 |
| 61.36 | 1.511 | 29 | 3 3 2 |
| 65.04 | 1.434 | 8 | 6 6 0 |
| 78.95 | 1.213 | 9 | 3 9 2 |
| 87.39 | 1.116 | 7 | 6 6 2 |

---

Repeat the second record exactly.
This entry pairs a crystal structure of Pm6Nd2Tm with its theoretical powder diffraction line list. Radiation: Cu Kα. Structure: DFT lattice parameters and positions (PBE).
Intensities are scaled so that the largest is 100.

Cell and atoms:
```
data_Pm6Nd2Tm
_cell_length_a 9.926
_cell_length_b 17.257
_cell_length_c 3.554
_cell_angle_alpha 90.00
_cell_angle_beta 90.00
_cell_angle_gamma 90.00
_symmetry_space_group_name_H-M 'C m m m'
_symmetry_Int_Tables_number 65
_symmetry_space_group_name_Hall '-C 2 2'
loop_
_atom_site_label
_atom_site_type_symbol
_atom_site_fract_x
_atom_site_fract_y
_atom_site_fract_z
_atom_site_occupancy
Pm1 Pm 0.166 0.165 0.000 1
Pm2 Pm 0.170 0.500 0.000 1
Nd1 Nd 0.000 0.333 0.500 1
Tm1 Tm 0.000 0.000 0.500 1
```

Largest 12 diffraction maxima, sorted by position, 10 to 90 degrees two-theta:
| 2θ/deg | d (Å) | I/Imax | index |
| --- | --- | --- | --- |
| 30.93 | 2.891 | 92 | 2 0 1 |
| 31.15 | 2.871 | 100 | 3 3 0 |
| 40.39 | 2.233 | 10 | 3 3 1 |
| 44.47 | 2.037 | 34 | 2 6 1 |
| 51.43 | 1.777 | 8 | 0 0 2 |
| 55.26 | 1.662 | 24 | 1 9 1 |
| 55.37 | 1.659 | 25 | 3 9 0 |
| 55.55 | 1.654 | 7 | 6 0 0 |
| 61.36 | 1.511 | 29 | 3 3 2 |
| 65.04 | 1.434 | 8 | 6 6 0 |
| 78.95 | 1.213 | 9 | 3 9 2 |
| 87.39 | 1.116 | 7 | 6 6 2 |